Record 1
Simulated XRD peak list
Compound: RbPI4
Radiation: CuKα
Structure: a structure optimized by DFT (PBE)
Peak positions follow from Bragg's law for the DFT cell and can differ from measured ones.

```
data_RbPI4
_chemical_formula_sum 'Rb2 P2 I8'
_symmetry_space_group_name_H-M 'P 1'
_symmetry_Int_Tables_number 1
_symmetry_space_group_name_Hall 'P 1'
_cell_length_a 7.237
_cell_length_b 8.406
_cell_length_c 10.969
_cell_angle_alpha 72.30
_cell_angle_beta 88.66
_cell_angle_gamma 71.02
loop_
_atom_site_label
_atom_site_type_symbol
_atom_site_fract_x
_atom_site_fract_y
_atom_site_fract_z
Rb1 Rb 0.197 0.093 0.173
Rb2 Rb 0.803 0.907 0.827
P1 P 0.092 0.385 0.700
P2 P 0.908 0.615 0.300
I1 I 0.009 0.270 0.470
I2 I 0.241 0.475 0.875
I3 I 0.247 0.582 0.227
I4 I 0.259 0.018 0.839
I5 I 0.741 0.982 0.161
I6 I 0.753 0.418 0.773
I7 I 0.759 0.525 0.125
I8 I 0.991 0.730 0.530
```

The 8 most intense peaks (2θ = 10–80°), sorted by position:
2θ (°), intensity
12.98, 81
24.42, 87
25.67, 96
27.55, 100
28.83, 77
29.35, 63
30.70, 67
43.23, 54

=====

Record 2
Simulated XRD peak list
Compound: Rb4PI
Radiation: CuKα
Structure: a structure optimized by DFT (PBE)
Peak positions follow from Bragg's law for the DFT cell and can differ from measured ones.

```
data_Rb4PI
_chemical_formula_sum 'Rb8 P2 I2'
_symmetry_space_group_name_H-M 'P 1'
_symmetry_Int_Tables_number 1
_symmetry_space_group_name_Hall 'P 1'
_cell_length_a 8.104
_cell_length_b 8.104
_cell_length_c 9.507
_cell_angle_alpha 90.00
_cell_angle_beta 90.00
_cell_angle_gamma 90.00
loop_
_atom_site_label
_atom_site_type_symbol
_atom_site_fract_x
_atom_site_fract_y
_atom_site_fract_z
Rb1 Rb 0.243 0.257 0.206
Rb2 Rb 0.243 0.257 0.794
Rb3 Rb 0.257 0.757 0.206
Rb4 Rb 0.257 0.757 0.794
Rb5 Rb 0.743 0.243 0.206
Rb6 Rb 0.743 0.243 0.794
Rb7 Rb 0.757 0.743 0.206
Rb8 Rb 0.757 0.743 0.794
P1 P 0.000 0.000 0.000
P2 P 0.500 0.500 0.000
I1 I 0.000 0.000 0.500
I2 I 0.500 0.500 0.500
```

The 8 most intense peaks (2θ = 10–80°), sorted by position:
2θ (°), intensity
15.46, 28
23.87, 28
24.33, 19
28.96, 100
31.22, 50
42.54, 20
44.73, 18
54.17, 32

=====

Record 3
Simulated XRD peak list
Compound: Rb2PRuI6
Radiation: CuKα
Structure: a structure optimized by DFT (PBE)
Peak positions follow from Bragg's law for the DFT cell and can differ from measured ones.

```
data_Rb2PRuI6
_chemical_formula_sum 'Rb2 P1 Ru1 I6'
_symmetry_space_group_name_H-M 'P 1'
_symmetry_Int_Tables_number 1
_symmetry_space_group_name_Hall 'P 1'
_cell_length_a 8.045
_cell_length_b 8.045
_cell_length_c 8.045
_cell_angle_alpha 120.04
_cell_angle_beta 120.04
_cell_angle_gamma 89.93
loop_
_atom_site_label
_atom_site_type_symbol
_atom_site_fract_x
_atom_site_fract_y
_atom_site_fract_z
Rb1 Rb 0.250 0.750 0.500
Rb2 Rb 0.750 0.250 0.500
P1 P 0.000 0.000 0.000
Ru1 Ru 0.500 0.500 0.000
I1 I 0.254 0.254 0.509
I2 I 0.254 0.746 0.000
I3 I 0.255 0.255 0.000
I4 I 0.745 0.745 0.000
I5 I 0.746 0.254 0.000
I6 I 0.746 0.746 0.491
```

The 8 most intense peaks (2θ = 10–80°), sorted by position:
2θ (°), intensity
15.58, 21
27.16, 100
31.46, 92
45.09, 66
53.43, 44
56.01, 23
72.44, 18
74.63, 29

=====

Record 4
Simulated XRD peak list
Compound: Rb2PSeI6
Radiation: CuKα
Structure: a structure optimized by DFT (PBE)
Peak positions follow from Bragg's law for the DFT cell and can differ from measured ones.

```
data_Rb2PSeI6
_chemical_formula_sum 'Rb2 P1 Se1 I6'
_symmetry_space_group_name_H-M 'P 1'
_symmetry_Int_Tables_number 1
_symmetry_space_group_name_Hall 'P 1'
_cell_length_a 8.218
_cell_length_b 8.218
_cell_length_c 8.218
_cell_angle_alpha 119.75
_cell_angle_beta 119.75
_cell_angle_gamma 90.43
loop_
_atom_site_label
_atom_site_type_symbol
_atom_site_fract_x
_atom_site_fract_y
_atom_site_fract_z
Rb1 Rb 0.250 0.750 0.500
Rb2 Rb 0.750 0.250 0.500
P1 P 0.000 0.000 0.000
Se1 Se 0.500 0.500 0.000
I1 I 0.240 0.240 0.480
I2 I 0.240 0.760 0.000
I3 I 0.243 0.243 0.000
I4 I 0.757 0.757 0.000
I5 I 0.760 0.240 0.000
I6 I 0.760 0.760 0.520
```

The 8 most intense peaks (2θ = 10–80°), sorted by position:
2θ (°), intensity
26.53, 100
30.65, 56
30.89, 27
43.90, 20
44.08, 40
52.03, 29
52.34, 15
54.64, 21

=====

Record 5
Simulated XRD peak list
Compound: RbVPI2
Radiation: CuKα
Structure: a structure optimized by DFT (PBE)
Peak positions follow from Bragg's law for the DFT cell and can differ from measured ones.

```
data_RbVPI2
_chemical_formula_sum 'Rb1 V1 P1 I2'
_symmetry_space_group_name_H-M 'P 1'
_symmetry_Int_Tables_number 1
_symmetry_space_group_name_Hall 'P 1'
_cell_length_a 6.732
_cell_length_b 6.732
_cell_length_c 6.090
_cell_angle_alpha 90.00
_cell_angle_beta 90.00
_cell_angle_gamma 90.00
loop_
_atom_site_label
_atom_site_type_symbol
_atom_site_fract_x
_atom_site_fract_y
_atom_site_fract_z
Rb1 Rb 0.000 0.000 0.000
V1 V 0.500 0.500 0.500
P1 P 0.000 0.000 0.500
I1 I 0.000 0.500 0.000
I2 I 0.500 0.000 0.000
```

The 8 most intense peaks (2θ = 10–80°), sorted by position:
2θ (°), intensity
14.55, 74
23.72, 91
26.48, 100
29.33, 38
30.34, 52
37.80, 38
39.93, 65
48.55, 36

=====

Record 6
Simulated XRD peak list
Compound: PS2I
Radiation: CuKα
Structure: a structure optimized by DFT (PBE)
Peak positions follow from Bragg's law for the DFT cell and can differ from measured ones.

```
data_PS2I
_chemical_formula_sum 'P4 S8 I4'
_symmetry_space_group_name_H-M 'P 1'
_symmetry_Int_Tables_number 1
_symmetry_space_group_name_Hall 'P 1'
_cell_length_a 6.448
_cell_length_b 16.899
_cell_length_c 5.955
_cell_angle_alpha 90.00
_cell_angle_beta 90.00
_cell_angle_gamma 90.00
loop_
_atom_site_label
_atom_site_type_symbol
_atom_site_fract_x
_atom_site_fract_y
_atom_site_fract_z
P1 P 0.225 0.199 0.000
P2 P 0.275 0.699 0.500
P3 P 0.725 0.301 0.000
P4 P 0.775 0.801 0.500
S1 S 0.007 0.731 0.324
S2 S 0.217 0.189 0.320
S3 S 0.283 0.689 0.820
S4 S 0.493 0.231 0.824
S5 S 0.507 0.769 0.324
S6 S 0.717 0.311 0.320
S7 S 0.783 0.811 0.820
S8 S 0.993 0.269 0.824
I1 I 0.038 0.007 0.869
I2 I 0.462 0.507 0.369
I3 I 0.538 0.493 0.869
I4 I 0.962 0.993 0.369
```

The 8 most intense peaks (2θ = 10–80°), sorted by position:
2θ (°), intensity
14.70, 100
20.98, 89
29.66, 19
29.85, 15
30.01, 19
31.81, 15
33.57, 28
36.90, 37

=====

Record 7
Simulated XRD peak list
Compound: P4S3I2
Radiation: CuKα
Structure: a structure optimized by DFT (PBE)
Peak positions follow from Bragg's law for the DFT cell and can differ from measured ones.

```
data_P4S3I2
_chemical_formula_sum 'P16 S12 I8'
_symmetry_space_group_name_H-M 'P 1'
_symmetry_Int_Tables_number 1
_symmetry_space_group_name_Hall 'P 1'
_cell_length_a 7.802
_cell_length_b 7.834
_cell_length_c 21.722
_cell_angle_alpha 84.97
_cell_angle_beta 87.14
_cell_angle_gamma 89.66
loop_
_atom_site_label
_atom_site_type_symbol
_atom_site_fract_x
_atom_site_fract_y
_atom_site_fract_z
P1 P 0.005 0.098 0.380
P2 P 0.067 0.526 0.397
P3 P 0.079 0.025 0.884
P4 P 0.113 0.230 0.947
P5 P 0.159 0.529 0.657
P6 P 0.216 0.882 0.552
P7 P 0.445 0.195 0.838
P8 P 0.487 0.043 0.104
P9 P 0.513 0.957 0.896
P10 P 0.555 0.805 0.162
P11 P 0.784 0.118 0.448
P12 P 0.841 0.471 0.343
P13 P 0.887 0.770 0.053
P14 P 0.921 0.975 0.116
P15 P 0.933 0.474 0.603
P16 P 0.995 0.902 0.620
S1 S 0.079 0.752 0.698
S2 S 0.158 0.275 0.423
S3 S 0.212 0.128 0.802
S4 S 0.266 0.860 0.927
S5 S 0.306 0.629 0.576
S6 S 0.363 0.323 0.918
S7 S 0.637 0.677 0.082
S8 S 0.694 0.371 0.424
S9 S 0.734 0.140 0.073
S10 S 0.788 0.872 0.198
S11 S 0.842 0.725 0.577
S12 S 0.921 0.248 0.302
I1 I 0.087 0.554 0.102
I2 I 0.267 0.629 0.307
I3 I 0.398 0.223 0.190
I4 I 0.418 0.072 0.601
I5 I 0.582 0.928 0.399
I6 I 0.602 0.777 0.810
I7 I 0.733 0.371 0.693
I8 I 0.913 0.446 0.898
```

The 8 most intense peaks (2θ = 10–80°), sorted by position:
2θ (°), intensity
16.07, 46
16.38, 100
16.96, 29
25.45, 44
25.55, 38
26.99, 38
27.28, 52
27.52, 31

=====

Record 8
Simulated XRD peak list
Compound: P4S3I2
Radiation: CuKα
Structure: a structure optimized by DFT (PBE)
Peak positions follow from Bragg's law for the DFT cell and can differ from measured ones.

```
data_P4S3I2
_chemical_formula_sum 'P16 S12 I8'
_symmetry_space_group_name_H-M 'P 1'
_symmetry_Int_Tables_number 1
_symmetry_space_group_name_Hall 'P 1'
_cell_length_a 10.358
_cell_length_b 16.860
_cell_length_c 7.262
_cell_angle_alpha 90.00
_cell_angle_beta 90.00
_cell_angle_gamma 90.00
loop_
_atom_site_label
_atom_site_type_symbol
_atom_site_fract_x
_atom_site_fract_y
_atom_site_fract_z
P1 P 0.037 0.151 0.039
P2 P 0.037 0.349 0.039
P3 P 0.143 0.250 0.179
P4 P 0.247 0.750 0.266
P5 P 0.253 0.250 0.766
P6 P 0.357 0.750 0.679
P7 P 0.463 0.651 0.539
P8 P 0.463 0.849 0.539
P9 P 0.537 0.151 0.461
P10 P 0.537 0.349 0.461
P11 P 0.643 0.250 0.321
P12 P 0.747 0.750 0.234
P13 P 0.753 0.250 0.734
P14 P 0.857 0.750 0.821
P15 P 0.963 0.651 0.961
P16 P 0.963 0.849 0.961
S1 S 0.125 0.151 0.772
S2 S 0.125 0.349 0.772
S3 S 0.178 0.750 0.539
S4 S 0.322 0.250 0.039
S5 S 0.375 0.651 0.272
S6 S 0.375 0.849 0.272
S7 S 0.625 0.151 0.728
S8 S 0.625 0.349 0.728
S9 S 0.678 0.750 0.961
S10 S 0.822 0.250 0.461
S11 S 0.875 0.651 0.228
S12 S 0.875 0.849 0.228
I1 I 0.152 0.042 0.205
I2 I 0.152 0.458 0.205
I3 I 0.348 0.542 0.705
I4 I 0.348 0.958 0.705
I5 I 0.652 0.042 0.295
I6 I 0.652 0.458 0.295
I7 I 0.848 0.542 0.795
I8 I 0.848 0.958 0.795
```

The 8 most intense peaks (2θ = 10–80°), sorted by position:
2θ (°), intensity
17.92, 57
19.98, 45
21.07, 74
23.36, 52
23.59, 100
29.20, 68
29.99, 62
30.53, 45

=====

Record 9
Simulated XRD peak list
Compound: SbP2SI
Radiation: CuKα
Structure: a structure optimized by DFT (PBE)
Peak positions follow from Bragg's law for the DFT cell and can differ from measured ones.

```
data_SbP2SI
_chemical_formula_sum 'Sb1 P2 S1 I1'
_symmetry_space_group_name_H-M 'P 1'
_symmetry_Int_Tables_number 1
_symmetry_space_group_name_Hall 'P 1'
_cell_length_a 5.231
_cell_length_b 5.231
_cell_length_c 4.867
_cell_angle_alpha 90.00
_cell_angle_beta 90.00
_cell_angle_gamma 90.00
loop_
_atom_site_label
_atom_site_type_symbol
_atom_site_fract_x
_atom_site_fract_y
_atom_site_fract_z
Sb1 Sb 0.000 0.000 0.000
P1 P 0.000 0.500 0.000
P2 P 0.500 0.000 0.000
S1 S 0.000 0.000 0.500
I1 I 0.500 0.500 0.500
```

The 8 most intense peaks (2θ = 10–80°), sorted by position:
2θ (°), intensity
24.06, 58
24.99, 100
34.28, 57
36.94, 23
42.89, 48
44.57, 22
49.27, 20
51.28, 35

=====

Record 10
Simulated XRD peak list
Compound: TaP2SI
Radiation: CuKα
Structure: a structure optimized by DFT (PBE)
Peak positions follow from Bragg's law for the DFT cell and can differ from measured ones.

```
data_TaP2SI
_chemical_formula_sum 'Ta1 P2 S1 I1'
_symmetry_space_group_name_H-M 'P 1'
_symmetry_Int_Tables_number 1
_symmetry_space_group_name_Hall 'P 1'
_cell_length_a 4.990
_cell_length_b 4.990
_cell_length_c 4.671
_cell_angle_alpha 90.00
_cell_angle_beta 90.00
_cell_angle_gamma 90.00
loop_
_atom_site_label
_atom_site_type_symbol
_atom_site_fract_x
_atom_site_fract_y
_atom_site_fract_z
Ta1 Ta 0.000 0.000 0.000
P1 P 0.000 0.500 0.000
P2 P 0.500 0.000 0.000
S1 S 0.000 0.000 0.500
I1 I 0.500 0.500 0.500
```

The 8 most intense peaks (2θ = 10–80°), sorted by position:
2θ (°), intensity
25.24, 57
26.13, 100
35.99, 47
38.55, 19
45.02, 47
46.63, 22
51.82, 16
53.76, 29

=====

Record 11
Simulated XRD peak list
Compound: SbP2I8
Radiation: CuKα
Structure: a structure optimized by DFT (PBE)
Peak positions follow from Bragg's law for the DFT cell and can differ from measured ones.

```
data_SbP2I8
_chemical_formula_sum 'Sb1 P2 I8'
_symmetry_space_group_name_H-M 'P 1'
_symmetry_Int_Tables_number 1
_symmetry_space_group_name_Hall 'P 1'
_cell_length_a 7.670
_cell_length_b 7.936
_cell_length_c 10.026
_cell_angle_alpha 108.48
_cell_angle_beta 104.36
_cell_angle_gamma 92.18
loop_
_atom_site_label
_atom_site_type_symbol
_atom_site_fract_x
_atom_site_fract_y
_atom_site_fract_z
Sb1 Sb 0.000 0.000 0.000
P1 P 0.005 0.531 0.398
P2 P 0.995 0.469 0.602
I1 I 0.188 0.274 0.317
I2 I 0.197 0.224 0.882
I3 I 0.248 0.783 0.530
I4 I 0.338 0.854 0.088
I5 I 0.662 0.146 0.912
I6 I 0.752 0.217 0.470
I7 I 0.803 0.776 0.118
I8 I 0.812 0.726 0.683
```

The 8 most intense peaks (2θ = 10–80°), sorted by position:
2θ (°), intensity
11.85, 48
12.53, 55
19.04, 47
20.40, 73
23.84, 50
26.06, 100
26.96, 48
31.89, 68

=====

Record 12
Simulated XRD peak list
Compound: Sc3PI
Radiation: CuKα
Structure: a structure optimized by DFT (PBE)
Peak positions follow from Bragg's law for the DFT cell and can differ from measured ones.

```
data_Sc3PI
_chemical_formula_sum 'Sc3 P1 I1'
_symmetry_space_group_name_H-M 'P 1'
_symmetry_Int_Tables_number 1
_symmetry_space_group_name_Hall 'P 1'
_cell_length_a 5.000
_cell_length_b 5.000
_cell_length_c 5.000
_cell_angle_alpha 90.00
_cell_angle_beta 90.00
_cell_angle_gamma 90.00
loop_
_atom_site_label
_atom_site_type_symbol
_atom_site_fract_x
_atom_site_fract_y
_atom_site_fract_z
Sc1 Sc 0.000 0.000 0.500
Sc2 Sc 0.000 0.500 0.000
Sc3 Sc 0.500 0.000 0.000
P1 P 0.000 0.000 0.000
I1 I 0.500 0.500 0.500
```

The 8 most intense peaks (2θ = 10–80°), sorted by position:
2θ (°), intensity
25.19, 60
30.98, 100
35.92, 80
44.38, 26
51.71, 53
61.52, 38
64.57, 17
70.47, 13